For Mg14NbSb, a DFT-relaxed cell (PBE, the Materials Project) gives the theoretical X-ray diffraction stick pattern in this record (Cu Kα).
No peak broadening, texture or thermal motion is included.

Cell and atoms:
Lattice parameters (Å, degrees): 6.3351 6.3351 10.1911 90.00 90.00 120.00
Space group P-6m2 (No. 187)
Symmetry-distinct sites (fractional):
Mg1 0.0000 0.0000 0.2471 (multiplicity 2)
Mg2 0.0074 0.5037 0.2440 (multiplicity 6)
Mg3 0.3321 0.1661 0.5000 (multiplicity 3)
Mg4 0.3348 0.1674 0.0000 (multiplicity 3)
Nb1 0.3333 0.6667 0.0000 (multiplicity 1)
Sb1 0.3333 0.6667 0.5000 (multiplicity 1)

Principal peaks in the range 2θ = 10–90°, most intense first:
d (Å)	2θ/deg	Rel. int.	h k l
2.415	37.2	1000	2 0 2
5.486	16.2	447	1 0 0
3.734	23.8	325	1 0 2
2.743	32.6	292	2 0 0
2.548	35.2	252	0 0 4
1.345	69.9	188	2 2 4
1.444	64.5	186	2 0 6
1.867	48.8	183	2 0 4